Diffraction record for KSm2CuS4. The powder X-ray diffraction pattern is computed, not measured: it uses DFT lattice parameters and positions (PBE) and Cu Kα X-rays.
No peak broadening, texture or thermal motion is included.

Most intense lines, 15 to 90 degrees two-theta, by intensity:
2theta, Rel. int.
32.23, 100
44.35, 62
23.11, 59
34.74, 52
30.20, 38
26.36, 37
30.07, 37
25.87, 36
58.08, 35
44.98, 30
39.88, 29
29.49, 27

Structure:
abc: 7.176 7.176 13.924
angles: 90.00 90.00 147.38
Sites, in units of the cell vectors:
K: 0.108 0.892 0.750
K: 0.892 0.108 0.250
Sm: 0.366 0.634 0.563
Sm: 0.366 0.634 0.937
Sm: 0.634 0.366 0.063
Sm: 0.634 0.366 0.437
Cu: 0.162 0.838 0.250
Cu: 0.838 0.162 0.750
S: 0.000 0.000 0.000
S: 0.000 0.000 0.500
S: 0.263 0.737 0.114
S: 0.263 0.737 0.386
S: 0.431 0.569 0.750
S: 0.569 0.431 0.250
S: 0.737 0.263 0.614
S: 0.737 0.263 0.886